This entry pairs a crystal structure of LiInMo2O8 with its theoretical X-ray powder pattern. Radiation: Cu Kα, 1.54184 Å. Structure: a PBE+U-relaxed structure.

Atomic structure:
abc: 7.591 7.591 5.093
angles: 91.05 91.05 100.92
Sites, in units of the cell vectors:
Li (0.084, 0.916, 0.750)
Li (0.916, 0.084, 0.250)
In (0.408, 0.592, 0.250)
In (0.592, 0.408, 0.750)
Mo (0.073, 0.391, 0.751)
Mo (0.391, 0.073, 0.251)
Mo (0.609, 0.927, 0.749)
Mo (0.927, 0.609, 0.249)
O (0.055, 0.668, 0.955)
O (0.064, 0.183, 0.595)
O (0.153, 0.553, 0.432)
O (0.183, 0.064, 0.095)
O (0.313, 0.442, 0.890)
O (0.332, 0.945, 0.545)
O (0.442, 0.313, 0.390)
O (0.447, 0.847, 0.068)
O (0.553, 0.153, 0.932)
O (0.558, 0.687, 0.610)
O (0.668, 0.055, 0.455)
O (0.687, 0.558, 0.110)
O (0.817, 0.936, 0.905)
O (0.847, 0.447, 0.568)
O (0.936, 0.817, 0.405)
O (0.945, 0.332, 0.045)

Main lines, sorted by position (2θ = 10–90°):
2θ (°)	d [Å]	Rel. int.
11.9	7.452	66
23.9	3.726	45
28.8	3.105	23
29.4	3.039	100
30.0	2.975	95
30.5	2.930	34
35.3	2.545	24
35.4	2.538	24
50.4	1.809	25
63.4	1.468	28